NaMg14CoO16: theoretical powder diffractogram (Cu Kα, 1.54184 Å), based on a structure optimized by DFT (GGA+U).

Crystal structure
a b c (Å): 8.521 8.521 4.258
angles (deg): 90.00 90.00 90.00
Element x y z (fractional)
1 Na 0.000 0.000 0.000
2 Mg 0.000 0.246 0.500
3 Mg 0.000 0.500 0.000
4 Mg 0.000 0.754 0.500
5 Mg 0.246 0.000 0.500
6 Mg 0.247 0.247 0.000
7 Mg 0.247 0.753 0.000
8 Mg 0.249 0.500 0.500
9 Mg 0.500 0.000 0.000
10 Mg 0.500 0.249 0.500
11 Mg 0.500 0.751 0.500
12 Mg 0.751 0.500 0.500
13 Mg 0.753 0.247 0.000
14 Mg 0.753 0.753 0.000
15 Mg 0.754 0.000 0.500
16 Co 0.500 0.500 0.000
17 O 0.000 0.000 0.500
18 O 0.000 0.268 0.000
19 O 0.000 0.500 0.500
20 O 0.000 0.732 0.000
21 O 0.252 0.252 0.500
22 O 0.252 0.748 0.500
23 O 0.268 0.000 0.000
24 O 0.268 0.500 0.000
25 O 0.500 0.000 0.500
26 O 0.500 0.268 0.000
27 O 0.500 0.500 0.500
28 O 0.500 0.732 0.000
29 O 0.732 0.000 0.000
30 O 0.732 0.500 0.000
31 O 0.748 0.252 0.500
32 O 0.748 0.748 0.500

Principal peaks in the range 2θ = 5–70°, low angle first:
| 2θ (°) | I_rel | h k l |
| --- | --- | --- |
| 10.38 | 8 | 1 0 0 |
| 14.70 | 3 | 1 1 0 |
| 20.85 | 2 | 2 0 0 |
| 23.35 | 6 | 2 1 0 |
| 29.66 | 2 | 2 2 0 |
| 31.51 | 3 | 2 1 1 |
| 36.54 | 15 | 2 2 1 |
| 42.44 | 100 | 0 0 2 |
| 61.58 | 56 | 4 0 2 |
| 62.64 | 2 | 5 2 1 |